This entry pairs a crystal structure of TaMn2PbO6 with its simulated X-ray diffraction stick pattern. Radiation: Cu Kα (weighted mean of Kα1 and Kα2). Structure: a structure optimized by DFT (GGA+U).
Neutral-atom scattering factors, no anomalous dispersion.

Most intense lines, 2θ from 15° to 90°, sorted by position:
2θ (°)  I (rel.)
21.5  858
22.3  800
22.5  844
29.6  1000
30.2  927
30.4  893
32.1  906
32.9  815
33.4  778
57.4  410

Atomic structure:
Unit cell a=5.3758 b=5.4476 c=5.9184 alpha=116.66 beta=90.32 gamma=117.88
Space group P1 (No. 1)
Inequivalent atoms, fractional coordinates:
Ta  0.0000  0.0000  0.0000 [1 per cell]
Mn  0.2967  0.6020  0.9262 [1 per cell]
Mn  0.7962  0.5865  0.3824 [1 per cell]
Pb  0.5218  0.0553  0.5812 [1 per cell]
O  0.0830  0.7896  0.1691 [1 per cell]
O  0.1522  0.7281  0.7264 [1 per cell]
O  0.3728  0.4301  0.1532 [1 per cell]
O  0.6012  0.5861  0.7437 [1 per cell]
O  0.7549  0.1277  0.1934 [1 per cell]
O  0.9717  0.0906  0.7085 [1 per cell]